# LiFeP2O7
Theoretical powder diffraction line list, Cu Kα (weighted mean of Kα1 and Kα2). Input: a structure optimized by DFT (GGA+U).
Neutral-atom scattering factors, no anomalous dispersion.

Structural model:
Lattice parameters (Å, degrees): 15.163 5.449 8.310 90.00 119.05 90.00
Space group Cc (No. 9)
Unique sites:
Li 0.000 0.177 0.000 x4
Fe 0.269 0.489 0.179 x4
P 0.162 0.142 0.824 x4
P 0.378 0.142 0.030 x4
O 0.077 0.037 0.247 x4
O 0.165 0.308 0.979 x4
O 0.169 0.302 0.677 x4
O 0.270 0.009 0.424 x4
O 0.373 0.348 0.895 x4
O 0.376 0.276 0.194 x4
O 0.458 0.042 0.581 x4

Top 10 peaks for 10 to 90 degrees two-theta, most intense first:
2θ/deg	Rel. int.	index
13.36	100.0	2 0 0
27.49	93.6	1 1 -2
19.49	81.9	1 1 -1
28.25	77.5	3 1 -2
25.96	42.7	3 1 0
42.97	24.6	4 2 0
32.81	24.1	3 1 1
34.08	20.2	5 1 -1
26.16	15.8	4 0 -2
42.50	14.9	4 2 -2